Starting from the PBE geometry in Alexandria, the X-ray diffraction stick pattern of Zn3Ni4Ir2 was calculated for Cu Kα X-rays.
Lines closer than 0.1° are merged.

Principal peaks in the range 10° ≤ 2θ ≤ 90°, by angle:
2θ/deg, d [Å], I (rel.)
16.95, 5.232, 17
25.66, 3.472, 23
31.65, 2.827, 13
42.23, 2.140, 97
42.35, 2.134, 100
48.51, 1.877, 32
49.59, 1.838, 60
71.82, 1.314, 29
72.75, 1.300, 18
87.85, 1.111, 33

Structure:
```
data_Zn3Ni4Ir2
_space_group_name_H-M_alt 'P 1'
_space_group_IT_number 1
_space_group_name_Hall 'P 1'
_cell_length_a 5.8090
_cell_length_b 5.8090
_cell_length_c 5.9294
_cell_angle_alpha 107.30
_cell_angle_beta 107.30
_cell_angle_gamma 36.93
loop_
_atom_site_label
_atom_site_fract_x
_atom_site_fract_y
_atom_site_fract_z
Zn1 0.0000 0.0000 0.0000
Zn2 0.1202 0.1202 0.6717
Zn3 0.8798 0.8798 0.3283
Ni1 0.2226 0.2226 0.3319
Ni2 0.3311 0.3311 0.0020
Ni3 0.6689 0.6689 0.9980
Ni4 0.7774 0.7774 0.6681
Ir1 0.4406 0.4406 0.6704
Ir2 0.5594 0.5594 0.3296
```